Starting from DFT lattice parameters and positions (PBE), the powder diffraction line list of Tm3Mg4 was calculated for λ = 1.5418 Å (Cu Kα).
Neutral-atom scattering factors, no anomalous dispersion.

Peak list (10 most intense, 2θ = 10–80°, sorted by position)
| d/Å | I/Imax | index |
| --- | --- | --- |
| 7.762 | 35 | 1 0 0 |
| 4.373 | 36 | 1 0 1 |
| 3.420 | 33 | 1 1 1 |
| 2.934 | 40 | 2 1 0 |
| 2.646 | 25 | 0 0 2 |
| 2.566 | 100 | 2 1 1 |
| 1.965 | 26 | 2 1 2 |
| 1.694 | 19 | 1 4 0 |
| 1.512 | 20 | 2 1 3 |
| 1.427 | 21 | 1 4 2 |

Structure:
a = 8.9626 Å, b = 8.9626 Å, c = 5.2926 Å
α = 90.00°, β = 90.00°, γ = 120.00°
Fractional positions:
Tm: 0.0987 0.4689 0.2500
Tm: 0.3702 0.9013 0.2500
Tm: 0.4689 0.3702 0.7500
Tm: 0.5311 0.6298 0.2500
Tm: 0.6298 0.0987 0.7500
Tm: 0.9013 0.5311 0.7500
Mg: 0.0479 0.2351 0.7500
Mg: 0.1872 0.9521 0.7500
Mg: 0.2351 0.1872 0.2500
Mg: 0.3333 0.6667 0.7500
Mg: 0.6667 0.3333 0.2500
Mg: 0.7649 0.8128 0.7500
Mg: 0.8128 0.0479 0.2500
Mg: 0.9521 0.7649 0.2500